Structure and theoretical X-ray powder pattern of UTiVSn (the GGA-PBE geometry in Alexandria; CuKα).

Structure:
Lattice parameters (Å, degrees): 4.7184 4.7184 4.7184 60.00 60.00 60.00
Element x y z (fractional)
U (0.0000, 0.0000, 0.0000)
Ti (0.7500, 0.7500, 0.7500)
V (0.2500, 0.2500, 0.2500)
Sn (0.5000, 0.5000, 0.5000)

Peak list (10 most intense, 2θ = 10–90°, most intense first)
2theta, d_spacing, intensity
38.1, 2.359, 100
26.7, 3.336, 39
68.9, 1.362, 36
55.0, 1.668, 17
62.2, 1.492, 17
23.1, 3.853, 13
47.2, 1.926, 12
81.6, 1.180, 11
87.8, 1.112, 10
45.1, 2.012, 7

=====

Structure and theoretical X-ray powder pattern of Ti7VSn2 (the GGA-PBE geometry in Alexandria; CuKα).

Structure:
Lattice parameters (Å, degrees): 6.5364 6.5364 6.5364 60.00 60.00 60.00
Element x y z (fractional)
Ti (0.0000, 0.0000, 0.0000)
Ti (0.2539, 0.2539, 0.7461)
Ti (0.2539, 0.7461, 0.2539)
Ti (0.2539, 0.7461, 0.7461)
Ti (0.7461, 0.2539, 0.2539)
Ti (0.7461, 0.2539, 0.7461)
Ti (0.7461, 0.7461, 0.2539)
V (0.5000, 0.5000, 0.5000)
Sn (0.2500, 0.2500, 0.2500)
Sn (0.7500, 0.7500, 0.7500)

Peak list (10 most intense, 2θ = 10–90°, most intense first)
2theta, d_spacing, intensity
39.0, 2.311, 100
33.6, 2.668, 96
27.3, 3.268, 80
56.3, 1.634, 65
67.2, 1.394, 37
48.2, 1.887, 35
70.6, 1.334, 21
77.2, 1.235, 19
63.7, 1.462, 16
83.7, 1.155, 10

=====

Structure and theoretical X-ray powder pattern of Ti2VSn2 (the GGA-PBE geometry in Alexandria; CuKα).

Structure:
Lattice parameters (Å, degrees): 7.7677 7.7677 5.4815 90.00 90.00 145.18
Element x y z (fractional)
Ti (0.1263, 0.8737, 0.5000)
Ti (0.3371, 0.6629, 0.4994)
Ti (0.6629, 0.3371, 0.9994)
Ti (0.8737, 0.1263, 0.0000)
V (0.0560, 0.9440, 0.0000)
V (0.9440, 0.0560, 0.5000)
Sn (0.2540, 0.7460, 0.9998)
Sn (0.5003, 0.4997, 0.2505)
Sn (0.4997, 0.5003, 0.7505)
Sn (0.7460, 0.2540, 0.4998)

Peak list (10 most intense, 2θ = 10–90°, most intense first)
2theta, d_spacing, intensity
39.6, 2.274, 100
38.7, 2.324, 65
34.9, 2.571, 60
38.6, 2.332, 53
24.0, 3.706, 45
35.9, 2.500, 42
31.0, 2.881, 41
42.4, 2.130, 38
53.1, 1.724, 38
63.0, 1.475, 24

=====

Structure and theoretical X-ray powder pattern of Ti6SnW (the GGA-PBE geometry in Alexandria; CuKα).

Structure:
Lattice parameters (Å, degrees): 4.4322 5.7350 5.7350 71.68 90.00 90.00
Element x y z (fractional)
Ti (0.0000, 0.0000, 0.0000)
Ti (0.0000, 0.5277, 0.9818)
Ti (0.0000, 0.9818, 0.5277)
Ti (0.5000, 0.2908, 0.7542)
Ti (0.5000, 0.7542, 0.2908)
Ti (0.5000, 0.7902, 0.7902)
Sn (0.5000, 0.2640, 0.2640)
W (0.0000, 0.5120, 0.5120)

Peak list (10 most intense, 2θ = 10–90°, most intense first)
2theta, d_spacing, intensity
38.8, 2.321, 100
16.3, 5.444, 22
40.7, 2.216, 18
25.9, 3.437, 17
27.8, 3.208, 12
57.5, 1.604, 12
72.8, 1.298, 12
70.2, 1.341, 12
54.7, 1.679, 9
69.0, 1.361, 8

=====

Structure and theoretical X-ray powder pattern of Ti5Zn2Sn (the GGA-PBE geometry in Alexandria; CuKα).

Structure:
Lattice parameters (Å, degrees): 8.7026 8.7026 8.7026 153.14 153.14 38.35
Element x y z (fractional)
Ti (0.0000, 0.0000, 0.0000)
Ti (0.1314, 0.6314, 0.5000)
Ti (0.3686, 0.8686, 0.5000)
Ti (0.6314, 0.1314, 0.5000)
Ti (0.8686, 0.3686, 0.5000)
Zn (0.2501, 0.2501, 0.0000)
Zn (0.7499, 0.7499, 0.0000)
Sn (0.5000, 0.5000, 0.0000)

Peak list (10 most intense, 2θ = 10–90°, most intense first)
2theta, d_spacing, intensity
38.4, 2.347, 100
44.8, 2.021, 32
78.3, 1.221, 22
64.7, 1.441, 19
44.1, 2.055, 16
77.2, 1.235, 11
82.1, 1.173, 10
65.3, 1.429, 10
22.7, 3.926, 8
21.6, 4.110, 6

=====

Structure and theoretical X-ray powder pattern of Ti7Zn2Sn2 (the GGA-PBE geometry in Alexandria; CuKα).

Structure:
Lattice parameters (Å, degrees): 6.8205 6.8205 4.7844 110.09 110.09 83.38
Element x y z (fractional)
Ti (0.0000, 0.0000, 0.0000)
Ti (0.0002, 0.3885, 0.1916)
Ti (0.9998, 0.6115, 0.8084)
Ti (0.3885, 0.0002, 0.1916)
Ti (0.4917, 0.4917, 0.2405)
Ti (0.5083, 0.5083, 0.7595)
Ti (0.6115, 0.9998, 0.8084)
Zn (0.2290, 0.2290, 0.7198)
Zn (0.7710, 0.7710, 0.2802)
Sn (0.2097, 0.7903, 0.5000)
Sn (0.7903, 0.2097, 0.5000)

Peak list (10 most intense, 2θ = 10–90°, most intense first)
2theta, d_spacing, intensity
40.4, 2.232, 100
40.7, 2.218, 85
37.6, 2.392, 36
39.9, 2.261, 31
31.2, 2.867, 31
39.7, 2.268, 22
20.9, 4.241, 20
28.8, 3.101, 20
28.9, 3.086, 20
69.6, 1.351, 17

=====

Structure and theoretical X-ray powder pattern of Ti7Zn2Sn3 (the GGA-PBE geometry in Alexandria; CuKα).

Structure:
Lattice parameters (Å, degrees): 15.2235 15.2235 3.0730 90.00 90.00 161.98
Element x y z (fractional)
Ti (0.0000, 0.0000, 0.0000)
Ti (0.0732, 0.9268, 0.5000)
Ti (0.2361, 0.7639, 0.0000)
Ti (0.4113, 0.5887, 0.0000)
Ti (0.5887, 0.4113, 0.0000)
Ti (0.7639, 0.2361, 0.0000)
Ti (0.9268, 0.0732, 0.5000)
Zn (0.1466, 0.8534, 0.0000)
Zn (0.8534, 0.1466, 0.0000)
Sn (0.3199, 0.6801, 0.5000)
Sn (0.5000, 0.5000, 0.5000)
Sn (0.6801, 0.3199, 0.5000)

Peak list (10 most intense, 2θ = 10–90°, most intense first)
2theta, d_spacing, intensity
37.9, 2.373, 100
37.8, 2.383, 53
35.9, 2.504, 31
40.8, 2.214, 29
68.2, 1.374, 17
23.8, 3.736, 17
17.7, 5.012, 16
34.9, 2.574, 11
60.2, 1.537, 11
34.2, 2.620, 11

=====

Structure and theoretical X-ray powder pattern of Ti12ZnSn3 (the GGA-PBE geometry in Alexandria; CuKα).

Structure:
Lattice parameters (Å, degrees): 5.1897 5.2005 10.3984 90.00 90.00 90.00
Element x y z (fractional)
Ti (0.0000, 0.0000, 0.1190)
Ti (0.0000, 0.0000, 0.3714)
Ti (0.0000, 0.0000, 0.6286)
Ti (0.0000, 0.0000, 0.8810)
Ti (0.2487, 0.5000, 0.5000)
Ti (0.2560, 0.5000, 0.0000)
Ti (0.5000, 0.2464, 0.2438)
Ti (0.5000, 0.2464, 0.7562)
Ti (0.5000, 0.7536, 0.2438)
Ti (0.5000, 0.7536, 0.7562)
Ti (0.7440, 0.5000, 0.0000)
Ti (0.7513, 0.5000, 0.5000)
Zn (0.5000, 0.0000, 0.0000)
Sn (0.0000, 0.5000, 0.2503)
Sn (0.0000, 0.5000, 0.7497)
Sn (0.5000, 0.0000, 0.5000)

Peak list (10 most intense, 2θ = 10–90°, most intense first)
2theta, d_spacing, intensity
42.6, 2.121, 100
67.4, 1.389, 50
38.7, 2.324, 48
34.5, 2.598, 45
24.2, 3.674, 33
88.2, 1.108, 13
83.1, 1.162, 9
64.7, 1.441, 8
72.7, 1.300, 8
49.6, 1.837, 6

=====

Structure and theoretical X-ray powder pattern of Zr3TiSn2 (the GGA-PBE geometry in Alexandria; CuKα).

Structure:
Lattice parameters (Å, degrees): 8.9244 8.9244 5.7765 108.43 108.43 126.18
Element x y z (fractional)
Zr (0.0007, 0.9993, 0.7500)
Zr (0.0641, 0.4213, 0.2390)
Zr (0.4213, 0.0641, 0.7390)
Zr (0.5787, 0.9359, 0.2610)
Zr (0.9359, 0.5787, 0.7610)
Zr (0.9993, 0.0007, 0.2500)
Ti (0.4973, 0.5027, 0.2500)
Ti (0.5027, 0.4973, 0.7500)
Sn (0.1271, 0.3970, 0.7586)
Sn (0.3970, 0.1271, 0.2586)
Sn (0.6030, 0.8729, 0.7414)
Sn (0.8729, 0.6030, 0.2414)

Peak list (10 most intense, 2θ = 10–90°, most intense first)
2theta, d_spacing, intensity
38.5, 2.338, 100
33.0, 2.715, 72
31.0, 2.889, 42
33.8, 2.653, 32
43.8, 2.067, 32
44.9, 2.020, 30
40.4, 2.232, 25
40.7, 2.217, 22
64.5, 1.444, 20
56.4, 1.630, 14

=====

Structure and theoretical X-ray powder pattern of ZrTiSn2 (the GGA-PBE geometry in Alexandria; CuKα).

Structure:
Lattice parameters (Å, degrees): 9.7869 9.7869 9.7869 18.95 18.95 18.95
Element x y z (fractional)
Zr (0.0000, 0.0000, 0.0000)
Ti (0.5000, 0.5000, 0.5000)
Sn (0.2463, 0.2463, 0.2463)
Sn (0.7537, 0.7537, 0.7537)

Peak list (10 most intense, 2θ = 10–90°, most intense first)
2theta, d_spacing, intensity
34.5, 2.603, 100
40.9, 2.206, 61
37.4, 2.402, 25
70.4, 1.338, 24
57.2, 1.611, 23
61.2, 1.514, 17
68.5, 1.370, 14
72.7, 1.301, 11
74.0, 1.281, 10
18.5, 4.804, 9

=====

Structure and theoretical X-ray powder pattern of Tl7Sn (the GGA-PBE geometry in Alexandria; CuKα).

Structure:
Lattice parameters (Å, degrees): 9.1937 9.1937 9.1937 145.82 145.82 49.11
Element x y z (fractional)
Tl (0.0000, 0.0000, 0.0000)
Tl (0.1209, 0.6209, 0.5000)
Tl (0.2508, 0.2508, 0.0000)
Tl (0.3791, 0.8791, 0.5000)
Tl (0.6209, 0.1209, 0.5000)
Tl (0.7492, 0.7492, 0.0000)
Tl (0.8791, 0.3791, 0.5000)
Sn (0.5000, 0.5000, 0.0000)

Peak list (10 most intense, 2θ = 10–90°, most intense first)
2theta, d_spacing, intensity
31.7, 2.820, 100
33.2, 2.701, 45
58.3, 1.582, 36
55.6, 1.653, 21
47.6, 1.910, 17
66.3, 1.410, 12
43.3, 2.091, 11
72.1, 1.309, 9
78.5, 1.218, 8
79.3, 1.208, 8